No. 1
# GdDyCuS3
Theoretical X-ray powder pattern, a wavelength of 1.5418 Å. Input: DFT lattice parameters and positions (GGA-PBE).
Intensities are scaled so that the largest is 100.

The 10 most intense peaks (2θ = 10–90°), by angle:
| 2θ (°) | d [Å] | I_rel | (hkl) |
| --- | --- | --- | --- |
| 22.33 | 3.981 | 88.6 | 0 2 2 |
| 26.23 | 3.397 | 26.0 | 1 1 1 |
| 28.43 | 3.140 | 37.7 | 0 4 0 |
| 30.30 | 2.949 | 41.8 | 1 1 2 |
| 33.20 | 2.698 | 65.2 | 1 3 1 |
| 34.87 | 2.573 | 43.4 | 0 0 4 |
| 36.17 | 2.483 | 35.8 | 1 1 3 |
| 36.58 | 2.457 | 100.0 | 1 3 2 |
| 45.58 | 1.990 | 36.3 | 0 4 4 |
| 48.46 | 1.878 | 26.3 | 2 0 0 |

Crystal structure
abc: 3.7566 12.5595 10.2931
angles: 90.00 90.00 90.00
Space group Cmcm (No. 63)
Symmetry-distinct sites (fractional):
Gd (0.0000, 0.0000, 0.0000) x4
Dy (0.0000, 0.2317, 0.2500) x4
Cu (0.0000, 0.4803, 0.7500) x4
S (0.0000, 0.0961, 0.7500) x4
S (0.0000, 0.3543, 0.5829) x8

No. 2
# NaCo3Sb5
Theoretical X-ray powder pattern, a wavelength of 1.5418 Å. Input: DFT lattice parameters and positions (GGA-PBE).
Intensities are scaled so that the largest is 100.

The 10 most intense peaks (2θ = 10–90°), by angle:
| 2θ (°) | d [Å] | I_rel | (hkl) |
| --- | --- | --- | --- |
| 10.75 | 8.232 | 100.0 | 0 0 1 |
| 19.30 | 4.600 | 30.3 | 1 0 0 |
| 29.11 | 3.067 | 90.4 | 1 0 2 |
| 33.75 | 2.656 | 93.8 | 1 1 0 |
| 40.42 | 2.232 | 55.9 | 1 1 2 |
| 40.73 | 2.215 | 30.1 | 2 0 1 |
| 44.00 | 2.058 | 29.7 | 0 0 4 |
| 45.16 | 2.008 | 83.3 | 2 0 2 |
| 56.58 | 1.627 | 40.2 | 1 1 4 |
| 57.55 | 1.602 | 25.9 | 2 1 2 |

Crystal structure
abc: 5.3115 5.3115 8.2315
angles: 90.00 90.00 120.00
Space group P6/mmm (No. 191)
Symmetry-distinct sites (fractional):
Na (0.0000, 0.0000, 0.0000) x1
Co (0.0000, 0.5000, 0.5000) x3
Sb (0.0000, 0.0000, 0.5000) x1
Sb (0.3333, 0.6667, 0.2416) x4

No. 3
# NbHgPb
Theoretical X-ray powder pattern, a wavelength of 1.5418 Å. Input: DFT lattice parameters and positions (GGA-PBE).
Intensities are scaled so that the largest is 100.

The 10 most intense peaks (2θ = 10–90°), by angle:
| 2θ (°) | d [Å] | I_rel | (hkl) |
| --- | --- | --- | --- |
| 22.59 | 3.936 | 9.1 | 1 1 1 |
| 26.14 | 3.409 | 46.8 | 2 0 0 |
| 37.31 | 2.410 | 100.0 | 2 2 0 |
| 44.06 | 2.055 | 4.5 | 3 1 1 |
| 46.12 | 1.968 | 14.4 | 2 2 2 |
| 53.79 | 1.704 | 17.6 | 4 0 0 |
| 60.76 | 1.524 | 19.4 | 4 2 0 |
| 67.28 | 1.392 | 36.3 | 4 2 2 |
| 79.54 | 1.205 | 11.6 | 4 4 0 |
| 85.45 | 1.136 | 10.2 | 6 0 0 |

Crystal structure
abc: 6.8173 6.8173 6.8173
angles: 90.00 90.00 90.00
Space group F-43m (No. 216)
Symmetry-distinct sites (fractional):
Nb (0.0000, 0.0000, 0.0000) x4
Hg (0.2500, 0.2500, 0.7500) x4
Pb (0.2500, 0.2500, 0.2500) x4

No. 4
# YAgSnS3
Theoretical X-ray powder pattern, a wavelength of 1.5418 Å. Input: DFT lattice parameters and positions (GGA-PBE).
Intensities are scaled so that the largest is 100.

The 10 most intense peaks (2θ = 10–90°), by angle:
| 2θ (°) | d [Å] | I_rel | (hkl) |
| --- | --- | --- | --- |
| 16.86 | 5.259 | 22.8 | 2 0 0 |
| 27.39 | 3.257 | 28.0 | 0 0 4 |
| 28.73 | 3.107 | 63.2 | 2 1 1 |
| 31.15 | 2.871 | 27.3 | 2 1 2 |
| 31.46 | 2.844 | 100.0 | 1 1 3 |
| 34.09 | 2.630 | 29.8 | 4 0 0 |
| 34.83 | 2.576 | 65.9 | 2 1 3 |
| 39.91 | 2.259 | 25.4 | 3 1 3 |
| 44.87 | 2.020 | 33.8 | 2 1 5 |
| 44.99 | 2.015 | 33.0 | 0 2 0 |

Crystal structure
abc: 10.5189 4.0300 13.0256
angles: 90.00 90.00 90.00
Space group Pnma (No. 62)
Symmetry-distinct sites (fractional):
Y (0.0201, 0.2500, 0.2355) x4
Ag (0.2347, 0.2500, 0.7146) x4
Sn (0.2005, 0.7500, 0.4875) x4
S (0.0309, 0.2500, 0.6142) x4
S (0.0735, 0.7500, 0.1060) x4
S (0.2386, 0.7500, 0.8412) x4

No. 5
# Sc4NiN3
Theoretical X-ray powder pattern, a wavelength of 1.5418 Å. Input: DFT lattice parameters and positions (GGA-PBE).
Intensities are scaled so that the largest is 100.

The 10 most intense peaks (2θ = 10–90°), by angle:
| 2θ (°) | d [Å] | I_rel | (hkl) |
| --- | --- | --- | --- |
| 32.63 | 2.745 | 31.6 | 1 0 1 |
| 36.04 | 2.492 | 20.1 | 1 0 4 |
| 37.96 | 2.370 | 93.6 | 1 0 5 |
| 39.09 | 2.304 | 20.4 | 0 0 10 |
| 40.20 | 2.243 | 100.0 | 1 0 6 |
| 55.00 | 1.670 | 21.9 | 1 0 11 |
| 57.77 | 1.596 | 46.3 | 1 1 0 |
| 71.23 | 1.324 | 12.1 | 2 0 5 |
| 71.97 | 1.312 | 18.4 | 1 1 10 |
| 72.71 | 1.300 | 14.0 | 2 0 6 |

Crystal structure
abc: 3.1918 3.1918 23.0425
angles: 90.00 90.00 120.00
Space group P6_3/mmc (No. 194)
Symmetry-distinct sites (fractional):
Sc (0.0000, 0.0000, 0.1656) x4
Sc (0.3333, 0.6667, 0.0549) x4
Ni (0.3333, 0.6667, 0.2500) x2
N (0.0000, 0.0000, 0.0000) x2
N (0.3333, 0.6667, 0.6144) x4

No. 6
# Gd2ErMg4In2
Theoretical X-ray powder pattern, a wavelength of 1.5418 Å. Input: DFT lattice parameters and positions (GGA-PBE).
Intensities are scaled so that the largest is 100.

The 10 most intense peaks (2θ = 10–90°), by angle:
| 2θ (°) | d [Å] | I_rel | (hkl) |
| --- | --- | --- | --- |
| 13.47 | 6.575 | 83.1 | 0 1 1 |
| 30.27 | 2.953 | 45.8 | 1 0 2 |
| 30.40 | 2.941 | 98.3 | 1 3 1 |
| 33.29 | 2.691 | 100.0 | 1 2 2 |
| 33.45 | 2.679 | 51.2 | 1 4 0 |
| 38.56 | 2.335 | 37.9 | 2 0 0 |
| 41.05 | 2.199 | 26.9 | 0 3 3 |
| 53.80 | 1.704 | 23.3 | 1 2 4 |
| 53.97 | 1.699 | 31.5 | 1 5 3 |
| 64.73 | 1.440 | 34.3 | 3 3 1 |

Crystal structure
abc: 4.6695 13.0853 7.6235
angles: 90.00 90.00 90.00
Space group Amm2 (No. 38)
Symmetry-distinct sites (fractional):
Gd (0.0000, 0.2169, 0.0000) x4
Er (0.0000, 0.0000, 0.3463) x2
Mg (0.0000, 0.0000, 0.7778) x2
Mg (0.5000, 0.0000, 0.0240) x2
Mg (0.5000, 0.1218, 0.6599) x4
In (0.5000, 0.1653, 0.2831) x4

No. 7
# Pr2Ho2O5
Theoretical X-ray powder pattern, a wavelength of 1.5418 Å. Input: DFT lattice parameters and positions (GGA-PBE).
Intensities are scaled so that the largest is 100.

The 10 most intense peaks (2θ = 10–90°), by angle:
| 2θ (°) | d [Å] | I_rel | (hkl) |
| --- | --- | --- | --- |
| 29.26 | 3.053 | 53.5 | 1 1 0 |
| 31.06 | 2.879 | 100.0 | 1 0 2 |
| 41.85 | 2.158 | 31.1 | 2 0 0 |
| 47.03 | 1.932 | 10.0 | 0 0 4 |
| 53.02 | 1.727 | 45.1 | 2 1 2 |
| 56.35 | 1.633 | 15.3 | 1 1 4 |
| 60.68 | 1.526 | 10.0 | 2 2 0 |
| 64.75 | 1.440 | 14.5 | 2 0 4 |
| 69.73 | 1.349 | 10.0 | 3 0 2 |
| 84.76 | 1.144 | 12.0 | 3 2 2 |

Crystal structure
abc: 4.3170 4.3170 7.7293
angles: 90.00 90.00 90.00
Space group P4/mmm (No. 123)
Symmetry-distinct sites (fractional):
Pr (0.0000, 0.0000, 0.0000) x1
Pr (0.0000, 0.0000, 0.5000) x1
Ho (0.5000, 0.5000, 0.2301) x2
O (0.0000, 0.5000, 0.2454) x4
O (0.5000, 0.5000, 0.5000) x1

No. 8
# ZnAg15
Theoretical X-ray powder pattern, a wavelength of 1.5418 Å. Input: DFT lattice parameters and positions (GGA-PBE).
Intensities are scaled so that the largest is 100.

The 10 most intense peaks (2θ = 10–90°), by angle:
| 2θ (°) | d [Å] | I_rel | (hkl) |
| --- | --- | --- | --- |
| 36.13 | 2.486 | 43.7 | 1 12 -1 |
| 37.74 | 2.384 | 100.0 | 2 0 0 |
| 38.16 | 2.358 | 55.5 | 1 13 -1 |
| 42.49 | 2.128 | 29.7 | 1 12 1 |
| 43.72 | 2.071 | 22.2 | 2 0 -2 |
| 44.28 | 2.046 | 36.0 | 1 13 1 |
| 62.60 | 1.484 | 16.3 | 3 12 -1 |
| 63.97 | 1.455 | 23.0 | 3 13 -1 |
| 75.10 | 1.265 | 13.9 | 2 25 0 |
| 76.83 | 1.241 | 13.2 | 3 13 1 |

Crystal structure
abc: 5.0667 37.3002 5.0653
angles: 90.00 109.67 90.00
Space group P2/c (No. 13)
Symmetry-distinct sites (fractional):
Zn (0.0000, 0.2105, 0.2500) x2
Ag (0.0000, 0.2402, 0.7500) x2
Ag (0.0000, 0.2835, 0.2500) x2
Ag (0.0000, 0.3215, 0.7500) x2
Ag (0.0000, 0.3619, 0.2500) x2
Ag (0.0000, 0.4011, 0.7500) x2
Ag (0.0000, 0.4408, 0.2500) x2
Ag (0.0000, 0.4802, 0.7500) x2
Ag (0.5000, 0.2045, 0.7500) x2
Ag (0.5000, 0.2402, 0.2500) x2
Ag (0.5000, 0.2825, 0.7500) x2
Ag (0.5000, 0.3214, 0.2500) x2
Ag (0.5000, 0.3617, 0.7500) x2
Ag (0.5000, 0.4010, 0.2500) x2
Ag (0.5000, 0.4409, 0.7500) x2
Ag (0.5000, 0.4800, 0.2500) x2

No. 9
# Pm3ScCd2
Theoretical X-ray powder pattern, a wavelength of 1.5418 Å. Input: DFT lattice parameters and positions (GGA-PBE).
Intensities are scaled so that the largest is 100.

The 10 most intense peaks (2θ = 10–90°), by angle:
| 2θ (°) | d [Å] | I_rel | (hkl) |
| --- | --- | --- | --- |
| 29.93 | 2.986 | 100.0 | 1 0 2 |
| 37.77 | 2.382 | 53.4 | 0 1 4 |
| 39.51 | 2.281 | 15.4 | 0 0 6 |
| 47.46 | 1.916 | 27.3 | 1 1 0 |
| 57.12 | 1.612 | 15.6 | 0 2 2 |
| 60.93 | 1.521 | 12.8 | 1 0 8 |
| 62.18 | 1.493 | 12.1 | 2 0 4 |
| 63.40 | 1.467 | 22.3 | 1 1 6 |
| 77.35 | 1.234 | 12.7 | 2 1 2 |
| 81.79 | 1.178 | 11.0 | 1 2 4 |

Crystal structure
abc: 3.8316 3.8316 13.6856
angles: 90.00 90.00 120.00
Space group P-3m1 (No. 164)
Symmetry-distinct sites (fractional):
Pm (0.0000, 0.0000, 0.0000) x1
Pm (0.3333, 0.6667, 0.3294) x2
Sc (0.0000, 0.0000, 0.5000) x1
Cd (0.3333, 0.6667, 0.8354) x2

No. 10
# Y2Ni2BiSb
Theoretical X-ray powder pattern, a wavelength of 1.5418 Å. Input: DFT lattice parameters and positions (GGA-PBE).
Intensities are scaled so that the largest is 100.

The 10 most intense peaks (2θ = 10–90°), by angle:
| 2θ (°) | d [Å] | I_rel | (hkl) |
| --- | --- | --- | --- |
| 24.03 | 3.704 | 22.9 | 1 1 1 |
| 27.82 | 3.207 | 45.4 | 2 0 2 |
| 39.74 | 2.268 | 100.0 | 4 1 0 |
| 46.98 | 1.934 | 11.9 | 3 2 -1 |
| 49.20 | 1.852 | 12.9 | 2 2 2 |
| 57.46 | 1.604 | 16.6 | 4 2 -4 |
| 63.18 | 1.472 | 4.9 | 1 3 1 |
| 65.02 | 1.434 | 17.0 | 6 1 2 |
| 72.14 | 1.309 | 33.4 | 4 3 0 |
| 85.66 | 1.134 | 10.7 | 0 4 0 |

Crystal structure
abc: 11.1104 4.5349 11.1138
angles: 90.00 109.48 90.00
Space group Pm (No. 6)
Symmetry-distinct sites (fractional):
Y (0.0000, 0.0000, 0.0000) x1
Y (0.1228, 0.5000, 0.3749) x1
Y (0.2465, 0.0000, 0.7473) x1
Y (0.3750, 0.5000, 0.1291) x1
Y (0.5006, 0.0000, 0.4996) x1
Y (0.6256, 0.5000, 0.8723) x1
Y (0.7489, 0.0000, 0.2531) x1
Y (0.8727, 0.5000, 0.6235) x1
Ni (0.1289, 0.5000, 0.1300) x1
Ni (0.2442, 0.0000, 0.4947) x1
Ni (0.3738, 0.5000, 0.8749) x1
Ni (0.4996, 0.0000, 0.2554) x1
Ni (0.6283, 0.5000, 0.6240) x1
Ni (0.7496, 0.0000, 0.9952) x1
Ni (0.8733, 0.5000, 0.3792) x1
Ni (0.9938, 0.0000, 0.7450) x1
Bi (0.1240, 0.5000, 0.8749) x1
Bi (0.3739, 0.5000, 0.6240) x1
Bi (0.4990, 0.0000, 0.9998) x1
Bi (0.8737, 0.5000, 0.1251) x1
Sb (0.2489, 0.0000, 0.2510) x1
Sb (0.6243, 0.5000, 0.3759) x1
Sb (0.7498, 0.0000, 0.7493) x1
Sb (0.9983, 0.0000, 0.4998) x1

No. 11
# RbGd2Cu3S5
Theoretical X-ray powder pattern, a wavelength of 1.5418 Å. Input: DFT lattice parameters and positions (GGA-PBE).
Intensities are scaled so that the largest is 100.

The 10 most intense peaks (2θ = 10–90°), by angle:
| 2θ (°) | d [Å] | I_rel | (hkl) |
| --- | --- | --- | --- |
| 26.11 | 3.413 | 46.9 | 0 4 1 |
| 28.33 | 3.151 | 100.0 | 1 1 3 |
| 29.55 | 3.022 | 37.5 | 1 3 0 |
| 30.05 | 2.974 | 41.5 | 1 3 1 |
| 31.49 | 2.841 | 46.2 | 1 3 2 |
| 32.22 | 2.778 | 55.1 | 0 0 6 |
| 36.73 | 2.447 | 52.3 | 1 3 4 |
| 39.46 | 2.284 | 38.9 | 1 5 0 |
| 45.61 | 1.989 | 40.4 | 2 0 0 |
| 48.68 | 1.870 | 42.5 | 1 3 7 |

Crystal structure
abc: 3.9779 13.9465 16.6678
angles: 90.00 90.00 90.00
Space group Cmcm (No. 63)
Symmetry-distinct sites (fractional):
Rb (0.0000, 0.0663, 0.2500) x4
Gd (0.0000, 0.1916, 0.5928) x8
Cu (0.0000, 0.3453, 0.2500) x4
Cu (0.0000, 0.4164, 0.5383) x8
S (0.0000, 0.1652, 0.0699) x8
S (0.0000, 0.2380, 0.7500) x4
S (0.0000, 0.4402, 0.1147) x8

No. 12
# Y3FeNi8
Theoretical X-ray powder pattern, a wavelength of 1.5418 Å. Input: DFT lattice parameters and positions (GGA-PBE).
Intensities are scaled so that the largest is 100.

The 10 most intense peaks (2θ = 10–90°), by angle:
| 2θ (°) | d [Å] | I_rel | (hkl) |
| --- | --- | --- | --- |
| 33.22 | 2.697 | 26.7 | 1 0 7 |
| 35.88 | 2.503 | 35.6 | 1 1 0 |
| 36.30 | 2.475 | 26.9 | 0 1 8 |
| 41.85 | 2.159 | 37.3 | 0 2 1 |
| 42.55 | 2.125 | 100.0 | 1 1 6 |
| 45.12 | 2.009 | 18.7 | 0 0 12 |
| 45.90 | 1.977 | 29.3 | 2 0 5 |
| 46.42 | 1.956 | 15.8 | 0 1 11 |
| 69.08 | 1.360 | 21.7 | 3 0 6 |
| 76.06 | 1.251 | 23.3 | 2 2 0 |

Crystal structure
abc: 5.0056 5.0056 24.1135
angles: 90.00 90.00 120.00
Space group R-3m (No. 166, hexagonal axes)
Symmetry-distinct sites (fractional):
Y (0.0000, 0.0000, 0.0000) x3
Y (0.0000, 0.0000, 0.1389) x6
Fe (0.0000, 0.0000, 0.5000) x3
Ni (0.0000, 0.0000, 0.3334) x6
Ni (0.0013, 0.5006, 0.9171) x18